[1]
Structure and theoretical powder XRD pattern of CaC6 (a structure optimized by DFT (PBE); λ = 1.5418 Å (Cu Kα)).
Neutral-atom scattering factors, no anomalous dispersion.

Cell and atoms:
```
CaC6
1.0
3.5794 0.0000 0.0000
0.6826 5.0273 0.0000
0.2856 0.4545 7.7486
Ca C
1 6
Direct
0.0000 0.0000 0.0000 Ca
0.4537 0.3832 0.0015 C
0.4989 0.6244 0.5007 C
0.5002 0.1247 0.4996 C
0.4998 0.8753 0.5004 C
0.5011 0.3756 0.4993 C
0.5463 0.6168 0.9985 C
```

Top 6 peaks for 2θ from 10° to 90°, sorted by position:
| 2θ/deg | I (rel.) |
| --- | --- |
| 11.42 | 11.7 |
| 22.96 | 100.0 |
| 27.36 | 21.2 |
| 27.97 | 19.9 |
| 28.84 | 12.3 |
| 34.74 | 11.6 |


[2]
Structure and theoretical powder XRD pattern of Li3YBr6 (a structure optimized by DFT (PBE); λ = 1.5418 Å (Cu Kα)).
Neutral-atom scattering factors, no anomalous dispersion.

Cell and atoms:
```
Li3YBr6
1.0
3.4945 -5.9930 0.0000
3.4945 5.9930 0.0000
-2.2508 0.0000 13.2109
Li Y Br
6 2 12
Direct
0.0924 0.9076 0.7500 Li
0.1602 0.3206 0.9995 Li
0.3206 0.1602 0.4995 Li
0.6794 0.8398 0.5005 Li
0.8398 0.6794 0.0005 Li
0.9076 0.0924 0.2500 Li
0.0000 0.5000 0.5000 Y
0.5000 0.0000 0.0000 Y
0.0401 0.2006 0.6188 Br
0.1221 0.6342 0.8809 Br
0.2006 0.0401 0.1188 Br
0.2848 0.4445 0.3790 Br
0.3658 0.8779 0.6191 Br
0.4445 0.2848 0.8790 Br
0.5555 0.7152 0.1210 Br
0.6342 0.1221 0.3809 Br
0.7152 0.5555 0.6210 Br
0.7994 0.9599 0.8812 Br
0.8779 0.3658 0.1191 Br
0.9599 0.7994 0.3812 Br
```

Top 6 peaks for 2θ from 10° to 90°, sorted by position:
| 2θ/deg | I (rel.) |
| --- | --- |
| 27.00 | 31.1 |
| 27.21 | 61.7 |
| 31.24 | 51.6 |
| 31.53 | 100.0 |
| 44.93 | 53.7 |
| 45.05 | 36.1 |


[3]
Structure and theoretical powder XRD pattern of LiBH4 (a structure optimized by DFT (PBE); λ = 1.5418 Å (Cu Kα)).
Neutral-atom scattering factors, no anomalous dispersion.

Cell and atoms:
```
LiBH4
1.0
4.2028 0.0000 0.0000
-2.1014 3.6397 0.0000
0.0000 0.0000 7.4201
Li B H
2 2 8
Direct
0.3333 0.6667 0.0000 Li
0.6667 0.3333 0.5000 Li
0.3333 0.6667 0.4216 B
0.6667 0.3333 0.9216 B
0.1752 0.3503 0.4774 H
0.1752 0.8248 0.4774 H
0.3333 0.6667 0.2573 H
0.3503 0.1752 0.9774 H
0.6497 0.8248 0.4774 H
0.6667 0.3333 0.7573 H
0.8248 0.1752 0.9774 H
0.8248 0.6497 0.9774 H
```

Top 6 peaks for 2θ from 10° to 90°, sorted by position:
| 2θ/deg | I (rel.) |
| --- | --- |
| 23.99 | 100.0 |
| 24.46 | 58.2 |
| 27.29 | 69.3 |
| 34.52 | 19.4 |
| 43.04 | 33.6 |
| 49.87 | 22.7 |


[4]
Structure and theoretical powder XRD pattern of CsCoCuS2 (a structure optimized by DFT (PBE); λ = 1.5418 Å (Cu Kα)).
Neutral-atom scattering factors, no anomalous dispersion.

Cell and atoms:
```
CsCoCuS2
1.0
3.9491 0.0000 0.0000
0.0000 3.9491 0.0000
0.0000 0.0000 14.0867
Cs Co Cu S
2 2 2 4
Direct
0.0000 0.0000 0.0000 Cs
0.5000 0.5000 0.5000 Cs
0.0000 0.5000 0.2500 Co
0.5000 0.0000 0.7500 Co
0.0000 0.5000 0.7500 Cu
0.5000 0.0000 0.2500 Cu
0.0000 0.0000 0.3393 S
0.0000 0.0000 0.6607 S
0.5000 0.5000 0.1607 S
0.5000 0.5000 0.8393 S
```

Top 6 peaks for 2θ from 10° to 90°, sorted by position:
| 2θ/deg | I (rel.) |
| --- | --- |
| 23.39 | 39.8 |
| 25.29 | 45.9 |
| 29.56 | 100.0 |
| 34.55 | 91.7 |
| 45.96 | 39.0 |
| 50.81 | 56.7 |


[5]
Structure and theoretical powder XRD pattern of LuAgGe (a structure optimized by DFT (PBE); λ = 1.5418 Å (Cu Kα)).
Neutral-atom scattering factors, no anomalous dispersion.

Cell and atoms:
```
LuAgGe
1.0
7.1048 0.0000 0.0000
-3.5524 6.1530 0.0000
0.0000 0.0000 4.1342
Lu Ag Ge
3 3 3
Direct
0.0000 0.5864 0.0000 Lu
0.4136 0.4136 0.0000 Lu
0.5864 0.0000 0.0000 Lu
0.0000 0.2540 0.5000 Ag
0.2540 0.0000 0.5000 Ag
0.7460 0.7460 0.5000 Ag
0.0000 0.0000 0.0000 Ge
0.3333 0.6667 0.5000 Ge
0.6667 0.3333 0.5000 Ge
```

Top 6 peaks for 2θ from 10° to 90°, sorted by position:
| 2θ/deg | I (rel.) |
| --- | --- |
| 33.25 | 100.0 |
| 36.40 | 80.7 |
| 38.72 | 44.6 |
| 43.79 | 26.2 |
| 58.51 | 22.7 |
| 59.86 | 24.3 |